Starting from the GGA+U geometry in Alexandria, the powder XRD pattern of CsMoP2O7 was calculated for CuKα.
Neutral-atom scattering factors, no anomalous dispersion.

Crystal structure
a = 7.872 Å, b = 10.615 Å, c = 8.673 Å
α = 90.00°, β = 105.08°, γ = 90.00°
Space group P2_1/c (No. 14)
Unique sites:
1 Cs 0.197 0.191 0.052 (multiplicity 4)
2 Mo 0.239 0.602 0.257 (multiplicity 4)
3 P 0.126 0.599 0.827 (multiplicity 4)
4 P 0.426 0.629 0.686 (multiplicity 4)
5 O 0.008 0.006 0.772 (multiplicity 4)
6 O 0.083 0.733 0.759 (multiplicity 4)
7 O 0.145 0.590 0.004 (multiplicity 4)
8 O 0.316 0.558 0.798 (multiplicity 4)
9 O 0.325 0.602 0.515 (multiplicity 4)
10 O 0.390 0.070 0.763 (multiplicity 4)
11 O 0.441 0.731 0.232 (multiplicity 4)

Peak list (6 most intense, 2θ = 10–90°, most intense first)
- (2 2 -1), 2θ = 28.59°, I 1000
- (1 1 2), 2θ = 28.16°, I 673
- (1 3 0), 2θ = 27.81°, I 567
- (0 3 1), 2θ = 27.32°, I 401
- (2 0 0), 2θ = 23.41°, I 306
- (1 1 -2), 2θ = 23.00°, I 270